Diffraction record for Pr2Sn3Bi3. The X-ray powder pattern is computed, not measured: it uses a cell relaxed with PBE and Cu Kα, 1.54184 Å.

The 8 most intense peaks (5° ≤ 2θ ≤ 70°), by angle:
(1 1 0), 21.76°, d = 4.085 Å, I 16; (1 1 1), 30.10°, d = 2.969 Å, I 100; (2 0 1), 32.71°, d = 2.738 Å, I 14; (2 1 0), 33.51°, d = 2.674 Å, I 24; (3 0 0), 38.16°, d = 2.358 Å, I 24; (0 0 2), 41.79°, d = 2.161 Å, I 14; (3 0 2), 57.87°, d = 1.593 Å, I 15; (4 1 1), 64.05°, d = 1.454 Å, I 25

Lattice parameters (Å, degrees): 8.1690 8.1690 4.3226 90.00 90.00 120.00
Fractional positions:
Pr  0.3333  0.6667  0.0000
Pr  0.6667  0.3333  0.0000
Sn  0.0000  0.7822  0.0000
Sn  0.2178  0.2178  0.0000
Sn  0.7822  0.0000  0.0000
Bi  0.0000  0.3596  0.5000
Bi  0.3596  0.0000  0.5000
Bi  0.6404  0.6404  0.5000